Entry 1:
Starting from DFT lattice parameters and positions (GGA+U), the PXRD pattern of Na9Mn15O32 was computed for a wavelength of 1.5418 Å.
Kinematic intensities with the Lorentz-polarization factor, no thermal factor.

Lattice parameters (Å, degrees): 5.9608 6.1161 20.0774 88.71 82.00 60.98
Fractional positions:
1 Na 0.0000 0.0000 0.0000
2 Na 0.0500 0.2385 0.6580
3 Na 0.0557 0.7349 0.1533
4 Na 0.4343 0.0382 0.0919
5 Na 0.4443 0.5266 0.5926
6 Na 0.5557 0.4734 0.4074
7 Na 0.5657 0.9618 0.9081
8 Na 0.9443 0.2651 0.8467
9 Na 0.9500 0.7615 0.3420
10 Mn 0.0000 0.0000 0.5000
11 Mn 0.0000 0.5000 0.0000
12 Mn 0.0000 0.5000 0.5000
13 Mn 0.0010 0.2492 0.2490
14 Mn 0.2514 0.1216 0.3746
15 Mn 0.2586 0.6060 0.8756
16 Mn 0.4975 0.2501 0.7512
17 Mn 0.4976 0.7512 0.7515
18 Mn 0.5000 0.0000 0.5000
19 Mn 0.5000 0.5000 0.0000
20 Mn 0.5024 0.2488 0.2485
21 Mn 0.5025 0.7499 0.2488
22 Mn 0.7414 0.3940 0.1244
23 Mn 0.7486 0.8784 0.6254
24 Mn 0.9990 0.7508 0.7510
25 O 0.0529 0.2629 0.0682
26 O 0.0873 0.7026 0.5511
27 O 0.1573 0.6409 0.0457
28 O 0.1586 0.4523 0.8044
29 O 0.1603 0.9552 0.3040
30 O 0.1614 0.8673 0.8087
31 O 0.1647 0.1227 0.5521
32 O 0.1653 0.3691 0.3068
33 O 0.3379 0.8710 0.4418
34 O 0.3395 0.2873 0.4467
35 O 0.3519 0.3497 0.9455
36 O 0.3591 0.5752 0.7029
37 O 0.3607 0.0707 0.2016
38 O 0.3836 0.7391 0.9313
39 O 0.4039 0.0479 0.7000
40 O 0.4164 0.5477 0.1953
41 O 0.5836 0.4523 0.8047
42 O 0.5961 0.9521 0.3000
43 O 0.6164 0.2609 0.0687
44 O 0.6393 0.9293 0.7984
45 O 0.6409 0.4248 0.2971
46 O 0.6481 0.6503 0.0545
47 O 0.6605 0.7127 0.5533
48 O 0.6620 0.1290 0.5582
49 O 0.8347 0.6309 0.6932
50 O 0.8353 0.8773 0.4479
51 O 0.8386 0.1327 0.1913
52 O 0.8397 0.0448 0.6960
53 O 0.8414 0.5477 0.1956
54 O 0.8427 0.3591 0.9544
55 O 0.9127 0.2974 0.4489
56 O 0.9471 0.7371 0.9318

Largest 6 diffraction maxima, in order of rising 2θ, 2θ from 15° to 90°:
d_spacing  2θ (°)  I/Imax
5.092  17.4  93
4.964  17.9  59
4.886  18.2  100
2.568  34.9  61
2.162  41.8  47
2.133  42.4  46

***

Entry 2:
Starting from DFT lattice parameters and positions (GGA+U), the PXRD pattern of Li3Mn5Cr2O12 was computed for a wavelength of 1.5418 Å.
Kinematic intensities with the Lorentz-polarization factor, no thermal factor.

Lattice parameters (Å, degrees): 5.2314 5.2314 10.0727 95.33 95.33 121.69
Fractional positions:
1 Li 0.0000 0.0000 0.0000
2 Li 0.3986 0.0720 0.2337
3 Li 0.9280 0.6014 0.7663
4 Mn 0.0830 0.4023 0.2395
5 Mn 0.1636 0.8364 0.5000
6 Mn 0.4984 0.5016 0.5000
7 Mn 0.5977 0.9170 0.7605
8 Mn 0.6583 0.3417 0.0000
9 Cr 0.3378 0.6622 0.0000
10 Cr 0.8322 0.1678 0.5000
11 O 0.0424 0.6718 0.1134
12 O 0.1393 0.1538 0.3902
13 O 0.2022 0.5557 0.6143
14 O 0.3282 0.9576 0.8866
15 O 0.3699 0.3687 0.1069
16 O 0.4443 0.7978 0.3857
17 O 0.5377 0.1856 0.6060
18 O 0.6313 0.6301 0.8931
19 O 0.6848 0.0674 0.1132
20 O 0.8144 0.4623 0.3940
21 O 0.8462 0.8607 0.6098
22 O 0.9326 0.3152 0.8868

Largest 6 diffraction maxima, in order of rising 2θ, 2θ from 15° to 90°:
d_spacing  2θ (°)  I/Imax
4.944  17.9  57
4.569  19.4  25
3.784  23.5  36
2.148  42.1  100
2.078  43.5  45
1.484  62.6  27

***

Entry 3:
Starting from DFT lattice parameters and positions (GGA+U), the PXRD pattern of Na6Cr2B4SO16 was computed for a wavelength of 1.5418 Å.
Kinematic intensities with the Lorentz-polarization factor, no thermal factor.

Lattice parameters (Å, degrees): 9.9303 9.9303 9.9303 60.00 60.00 60.00
Fractional positions:
1 Na 0.0937 0.0937 0.6563
2 Na 0.0937 0.6563 0.0937
3 Na 0.0937 0.6563 0.6563
4 Na 0.3437 0.3437 0.9063
5 Na 0.3437 0.9063 0.3437
6 Na 0.3437 0.9063 0.9063
7 Na 0.6563 0.0937 0.0937
8 Na 0.6563 0.0937 0.6563
9 Na 0.6563 0.6563 0.0937
10 Na 0.9063 0.3437 0.3437
11 Na 0.9063 0.3437 0.9063
12 Na 0.9063 0.9063 0.3437
13 Cr 0.0000 0.5000 0.5000
14 Cr 0.5000 0.0000 0.5000
15 Cr 0.5000 0.5000 0.0000
16 Cr 0.5000 0.5000 0.5000
17 B 0.2881 0.2881 0.2881
18 B 0.2881 0.2881 0.6357
19 B 0.2881 0.6357 0.2881
20 B 0.3643 0.7119 0.7119
21 B 0.6357 0.2881 0.2881
22 B 0.7119 0.3643 0.7119
23 B 0.7119 0.7119 0.3643
24 B 0.7119 0.7119 0.7119
25 S 0.1250 0.1250 0.1250
26 S 0.8750 0.8750 0.8750
27 O 0.0634 0.0634 0.0634
28 O 0.0634 0.0634 0.3097
29 O 0.0634 0.3097 0.0634
30 O 0.1333 0.3209 0.4040
31 O 0.1333 0.4040 0.6419
32 O 0.1333 0.6419 0.3209
33 O 0.3097 0.0634 0.0634
34 O 0.3209 0.1333 0.6419
35 O 0.3209 0.4040 0.1333
36 O 0.3209 0.6419 0.4040
37 O 0.3581 0.5960 0.6791
38 O 0.3581 0.6791 0.8667
39 O 0.3581 0.8667 0.5960
40 O 0.4040 0.1333 0.3209
41 O 0.4040 0.3209 0.6419
42 O 0.4040 0.6419 0.1333
43 O 0.5960 0.3581 0.8667
44 O 0.5960 0.6791 0.3581
45 O 0.5960 0.8667 0.6791
46 O 0.6419 0.1333 0.4040
47 O 0.6419 0.3209 0.1333
48 O 0.6419 0.4040 0.3209
49 O 0.6791 0.3581 0.5960
50 O 0.6791 0.5960 0.8667
51 O 0.6791 0.8667 0.3581
52 O 0.6903 0.9366 0.9366
53 O 0.8667 0.3581 0.6791
54 O 0.8667 0.5960 0.3581
55 O 0.8667 0.6791 0.5960
56 O 0.9366 0.6903 0.9366
57 O 0.9366 0.9366 0.6903
58 O 0.9366 0.9366 0.9366

Largest 6 diffraction maxima, in order of rising 2θ, 2θ from 15° to 90°:
d_spacing  2θ (°)  I/Imax
4.234  21.0  100
4.054  21.9  18
2.703  33.1  83
2.483  36.2  58
1.966  46.2  25
1.622  56.8  25

***

Entry 4:
Starting from DFT lattice parameters and positions (GGA+U), the PXRD pattern of VFe5P6O24 was computed for a wavelength of 1.5418 Å.
Kinematic intensities with the Lorentz-polarization factor, no thermal factor.

Lattice parameters (Å, degrees): 8.4595 8.4595 8.4595 61.32 61.32 61.32
Fractional positions:
1 V 0.0000 0.0000 0.0000
2 Fe 0.2110 0.2110 0.2110
3 Fe 0.3557 0.3557 0.3557
4 Fe 0.5020 0.5020 0.5020
5 Fe 0.7130 0.7130 0.7130
6 Fe 0.8561 0.8561 0.8561
7 P 0.1061 0.4009 0.8112
8 P 0.3116 0.9023 0.6095
9 P 0.4009 0.8112 0.1061
10 P 0.6095 0.3116 0.9023
11 P 0.8112 0.1061 0.4009
12 P 0.9023 0.6095 0.3116
13 O 0.0343 0.2400 0.8612
14 O 0.1052 0.4517 0.2966
15 O 0.1116 0.9214 0.7691
16 O 0.1829 0.3589 0.9619
17 O 0.2400 0.8612 0.0343
18 O 0.2629 0.4072 0.6094
19 O 0.2966 0.1052 0.4517
20 O 0.3443 0.7459 0.5441
21 O 0.3589 0.9619 0.1829
22 O 0.4072 0.6094 0.2629
23 O 0.4517 0.2965 0.1052
24 O 0.4674 0.8580 0.6788
25 O 0.5441 0.3443 0.7459
26 O 0.5973 0.7971 0.9491
27 O 0.6094 0.2629 0.4072
28 O 0.6788 0.4674 0.8580
29 O 0.7459 0.5441 0.3443
30 O 0.7691 0.1116 0.9214
31 O 0.7971 0.9491 0.5973
32 O 0.8580 0.6788 0.4674
33 O 0.8612 0.0343 0.2400
34 O 0.9214 0.7691 0.1116
35 O 0.9491 0.5973 0.7971
36 O 0.9619 0.1829 0.3589

Largest 6 diffraction maxima, in order of rising 2θ, 2θ from 15° to 90°:
d_spacing  2θ (°)  I/Imax
4.314  20.6  86
3.648  24.4  100
2.679  33.4  72
2.491  36.1  39
1.898  47.9  30
1.824  50.0  27

***

Please write out number 3 again, unchanged.
Starting from DFT lattice parameters and positions (GGA+U), the PXRD pattern of Na6Cr2B4SO16 was computed for a wavelength of 1.5418 Å.
Kinematic intensities with the Lorentz-polarization factor, no thermal factor.

Lattice parameters (Å, degrees): 9.9303 9.9303 9.9303 60.00 60.00 60.00
Fractional positions:
1 Na 0.0937 0.0937 0.6563
2 Na 0.0937 0.6563 0.0937
3 Na 0.0937 0.6563 0.6563
4 Na 0.3437 0.3437 0.9063
5 Na 0.3437 0.9063 0.3437
6 Na 0.3437 0.9063 0.9063
7 Na 0.6563 0.0937 0.0937
8 Na 0.6563 0.0937 0.6563
9 Na 0.6563 0.6563 0.0937
10 Na 0.9063 0.3437 0.3437
11 Na 0.9063 0.3437 0.9063
12 Na 0.9063 0.9063 0.3437
13 Cr 0.0000 0.5000 0.5000
14 Cr 0.5000 0.0000 0.5000
15 Cr 0.5000 0.5000 0.0000
16 Cr 0.5000 0.5000 0.5000
17 B 0.2881 0.2881 0.2881
18 B 0.2881 0.2881 0.6357
19 B 0.2881 0.6357 0.2881
20 B 0.3643 0.7119 0.7119
21 B 0.6357 0.2881 0.2881
22 B 0.7119 0.3643 0.7119
23 B 0.7119 0.7119 0.3643
24 B 0.7119 0.7119 0.7119
25 S 0.1250 0.1250 0.1250
26 S 0.8750 0.8750 0.8750
27 O 0.0634 0.0634 0.0634
28 O 0.0634 0.0634 0.3097
29 O 0.0634 0.3097 0.0634
30 O 0.1333 0.3209 0.4040
31 O 0.1333 0.4040 0.6419
32 O 0.1333 0.6419 0.3209
33 O 0.3097 0.0634 0.0634
34 O 0.3209 0.1333 0.6419
35 O 0.3209 0.4040 0.1333
36 O 0.3209 0.6419 0.4040
37 O 0.3581 0.5960 0.6791
38 O 0.3581 0.6791 0.8667
39 O 0.3581 0.8667 0.5960
40 O 0.4040 0.1333 0.3209
41 O 0.4040 0.3209 0.6419
42 O 0.4040 0.6419 0.1333
43 O 0.5960 0.3581 0.8667
44 O 0.5960 0.6791 0.3581
45 O 0.5960 0.8667 0.6791
46 O 0.6419 0.1333 0.4040
47 O 0.6419 0.3209 0.1333
48 O 0.6419 0.4040 0.3209
49 O 0.6791 0.3581 0.5960
50 O 0.6791 0.5960 0.8667
51 O 0.6791 0.8667 0.3581
52 O 0.6903 0.9366 0.9366
53 O 0.8667 0.3581 0.6791
54 O 0.8667 0.5960 0.3581
55 O 0.8667 0.6791 0.5960
56 O 0.9366 0.6903 0.9366
57 O 0.9366 0.9366 0.6903
58 O 0.9366 0.9366 0.9366

Largest 6 diffraction maxima, in order of rising 2θ, 2θ from 15° to 90°:
d_spacing  2θ (°)  I/Imax
4.234  21.0  100
4.054  21.9  18
2.703  33.1  83
2.483  36.2  58
1.966  46.2  25
1.622  56.8  25

***

Please write out number 3 again, unchanged.
Starting from DFT lattice parameters and positions (GGA+U), the PXRD pattern of Na6Cr2B4SO16 was computed for a wavelength of 1.5418 Å.
Kinematic intensities with the Lorentz-polarization factor, no thermal factor.

Lattice parameters (Å, degrees): 9.9303 9.9303 9.9303 60.00 60.00 60.00
Fractional positions:
1 Na 0.0937 0.0937 0.6563
2 Na 0.0937 0.6563 0.0937
3 Na 0.0937 0.6563 0.6563
4 Na 0.3437 0.3437 0.9063
5 Na 0.3437 0.9063 0.3437
6 Na 0.3437 0.9063 0.9063
7 Na 0.6563 0.0937 0.0937
8 Na 0.6563 0.0937 0.6563
9 Na 0.6563 0.6563 0.0937
10 Na 0.9063 0.3437 0.3437
11 Na 0.9063 0.3437 0.9063
12 Na 0.9063 0.9063 0.3437
13 Cr 0.0000 0.5000 0.5000
14 Cr 0.5000 0.0000 0.5000
15 Cr 0.5000 0.5000 0.0000
16 Cr 0.5000 0.5000 0.5000
17 B 0.2881 0.2881 0.2881
18 B 0.2881 0.2881 0.6357
19 B 0.2881 0.6357 0.2881
20 B 0.3643 0.7119 0.7119
21 B 0.6357 0.2881 0.2881
22 B 0.7119 0.3643 0.7119
23 B 0.7119 0.7119 0.3643
24 B 0.7119 0.7119 0.7119
25 S 0.1250 0.1250 0.1250
26 S 0.8750 0.8750 0.8750
27 O 0.0634 0.0634 0.0634
28 O 0.0634 0.0634 0.3097
29 O 0.0634 0.3097 0.0634
30 O 0.1333 0.3209 0.4040
31 O 0.1333 0.4040 0.6419
32 O 0.1333 0.6419 0.3209
33 O 0.3097 0.0634 0.0634
34 O 0.3209 0.1333 0.6419
35 O 0.3209 0.4040 0.1333
36 O 0.3209 0.6419 0.4040
37 O 0.3581 0.5960 0.6791
38 O 0.3581 0.6791 0.8667
39 O 0.3581 0.8667 0.5960
40 O 0.4040 0.1333 0.3209
41 O 0.4040 0.3209 0.6419
42 O 0.4040 0.6419 0.1333
43 O 0.5960 0.3581 0.8667
44 O 0.5960 0.6791 0.3581
45 O 0.5960 0.8667 0.6791
46 O 0.6419 0.1333 0.4040
47 O 0.6419 0.3209 0.1333
48 O 0.6419 0.4040 0.3209
49 O 0.6791 0.3581 0.5960
50 O 0.6791 0.5960 0.8667
51 O 0.6791 0.8667 0.3581
52 O 0.6903 0.9366 0.9366
53 O 0.8667 0.3581 0.6791
54 O 0.8667 0.5960 0.3581
55 O 0.8667 0.6791 0.5960
56 O 0.9366 0.6903 0.9366
57 O 0.9366 0.9366 0.6903
58 O 0.9366 0.9366 0.9366

Largest 6 diffraction maxima, in order of rising 2θ, 2θ from 15° to 90°:
d_spacing  2θ (°)  I/Imax
4.234  21.0  100
4.054  21.9  18
2.703  33.1  83
2.483  36.2  58
1.966  46.2  25
1.622  56.8  25